(1)
For Al2S3, a structure optimized by DFT (PBE) gives the theoretical PXRD pattern in this record (λ = 1.5418 Å (Cu Kα)).
Kinematic intensities with the Lorentz-polarization factor, no thermal factor.

Structure:
```
30
Lattice="6.6101 0.0000 0.0000 -3.3051 5.7246 0.0000 0.0000 0.0000 17.2814" Properties=species:S:1:pos:R:3 pbc="T T T"
Al -0.9746 1.7542 0.0000
Al -1.0991 2.0107 6.3185
Al -1.2986 5.6914 11.5210
Al 1.0319 1.7211 14.4012
Al -1.0142 5.6710 0.5581
Al 1.1918 1.9572 3.4383
Al 2.1133 3.7673 12.0790
Al 4.3192 0.0535 9.1988
Al 2.2731 4.0034 5.7605
Al 4.6036 0.0331 2.8802
Al 4.4042 3.7138 14.9592
Al 4.2796 3.9703 8.6407
S -2.1610 3.7803 17.2429
S -2.0645 4.0441 6.1699
S -0.8448 1.9831 2.4943
S 0.8350 1.9146 11.9303
S -1.1653 5.4646 14.0153
S 2.0756 0.2341 9.0501
S 1.1117 1.9629 5.7219
S 2.2558 0.0187 2.8417
S 1.2950 1.7231 16.8955
S 2.0100 4.0014 8.2548
S 1.0493 5.7058 11.4824
S 2.1934 3.7616 14.3627
S 1.2295 5.4904 0.4094
S 4.4703 0.2600 5.3746
S 2.4700 3.8100 3.2896
S 4.1498 3.7414 11.1350
S 5.3696 1.6805 14.8106
S 5.4660 1.9442 8.6022
```

Principal peaks in the range 5° ≤ 2θ ≤ 70°, sorted by position:
2θ 18.59, I 436, hkl 1 0 2
2θ 26.98, I 1000, hkl 1 1 0
2θ 31.05, I 533, hkl 0 0 6
2θ 31.20, I 364, hkl 1 1 3
2θ 41.59, I 309, hkl 1 1 6
2θ 44.85, I 252, hkl 1 0 8
2θ 47.66, I 617, hkl 3 0 0
2θ 53.12, I 216, hkl 2 0 8
2θ 57.98, I 410, hkl 3 0 6
2θ 60.57, I 241, hkl 1 2 8

---

(2)
For Al2S3, a structure optimized by DFT (PBE) gives the theoretical PXRD pattern in this record (λ = 1.5418 Å (Cu Kα)).
Kinematic intensities with the Lorentz-polarization factor, no thermal factor.

Structure:
```
30
Lattice="6.4758 0.0000 0.0000 -2.7843 6.8014 0.0000 -0.8738 -3.7054 20.5912" Properties=species:S:1:pos:R:3 pbc="T T T"
Al 0.0000 0.0000 0.0000
Al -1.2214 -1.3375 15.4362
Al -0.7581 -0.4533 10.4727
Al -2.0782 3.4615 10.5881
Al 0.0651 -3.0276 17.2522
Al -0.5784 3.5678 1.3430
Al -0.8169 1.5217 13.3082
Al 1.3213 -1.3325 9.1112
Al 1.8254 0.4139 6.9999
Al 1.2084 2.3821 8.8425
Al 2.4377 3.3040 14.0096
Al 4.0111 -1.9647 19.4959
S -1.3495 -0.0325 19.7461
S -1.9604 3.4599 12.8670
S -0.8666 1.7558 9.5860
S -1.2798 1.0621 15.6136
S -1.5967 5.1622 6.8550
S -1.6607 3.1502 19.2652
S 0.9315 -1.3240 16.1912
S 1.1094 3.5913 2.8231
S 1.1936 2.4302 6.5803
S 1.8133 -1.8061 20.0466
S 1.3265 1.7241 12.9053
S 2.6565 0.5493 9.1107
S 2.4155 5.2415 2.7998
S 2.2011 4.0049 10.0068
S 4.2686 -2.6076 17.3172
S 3.2898 1.8902 15.9725
S 3.8756 4.9066 1.3100
S 4.7818 -0.3612 12.4572
```

Principal peaks in the range 5° ≤ 2θ ≤ 70°, sorted by position:
2θ 8.59, I 1000, hkl 0 0 2
2θ 14.45, I 663, hkl 0 1 -2
2θ 14.87, I 492, hkl 1 0 0
2θ 15.03, I 335, hkl 1 0 -1
2θ 15.93, I 720, hkl 1 0 1
2θ 17.03, I 443, hkl 0 1 2
2θ 18.19, I 348, hkl -1 1 2
2θ 24.92, I 424, hkl 1 -2 0
2θ 25.96, I 584, hkl 0 0 6
2θ 28.58, I 372, hkl 1 -2 4

---

(3)
For Y6Al2SiS14, a structure optimized by DFT (PBE) gives the theoretical PXRD pattern in this record (λ = 1.5418 Å (Cu Kα)).
Kinematic intensities with the Lorentz-polarization factor, no thermal factor.

Structure:
```
23
Lattice="9.7116 0.0000 0.0000 -4.8558 8.4105 0.0000 0.0000 0.0000 5.9697" Properties=species:S:1:pos:R:3 pbc="T T T"
Y -2.3327 4.6378 0.0000
Y 2.3706 0.9214 2.9094
Y 2.0057 4.0714 0.0000
Y 0.3270 8.1117 0.0000
Y 4.4684 5.8968 2.9094
Y 7.7283 1.5923 2.9094
Al 0.0000 5.6070 2.4705
Al 4.8558 2.8035 1.8568
Si 0.0000 0.0000 5.4339
S 0.0000 0.0000 1.6037
S -3.3045 7.2162 4.5714
S 0.2587 1.9406 4.5714
S -0.2366 3.5638 1.5452
S -1.6512 6.8335 1.5452
S 0.0000 5.6070 4.7028
S 3.2275 1.6668 0.4669
S 2.9643 3.6280 3.2432
S 5.0875 0.7532 3.2432
S 1.8878 6.4237 1.5452
S 4.6856 4.7820 0.4669
S 3.0459 7.6642 4.5714
S 6.6544 1.9617 0.4669
S 6.5156 4.0293 3.2432
```

Principal peaks in the range 5° ≤ 2θ ≤ 70°, sorted by position:
2θ 18.23, I 396, hkl 0 1 1
2θ 21.13, I 266, hkl 2 0 0
2θ 25.92, I 943, hkl 0 2 1
2θ 31.87, I 494, hkl 3 -1 1
2θ 35.35, I 700, hkl 3 0 1
2θ 36.98, I 1000, hkl 2 2 0
2θ 38.60, I 227, hkl 1 3 0
2θ 41.53, I 713, hkl 1 2 2
2θ 50.76, I 256, hkl 2 0 3
2θ 52.14, I 246, hkl 1 4 1

---

(4)
For Al7Tl3S12, a structure optimized by DFT (PBE) gives the theoretical PXRD pattern in this record (λ = 1.5418 Å (Cu Kα)).
Kinematic intensities with the Lorentz-polarization factor, no thermal factor.

Structure:
```
44
Lattice="9.2051 0.0000 0.0000 0.0000 12.6275 0.0000 -1.0350 0.0000 9.6791" Properties=species:S:1:pos:R:3 pbc="T T T"
Al -0.1157 0.0000 2.9184
Al -0.2053 9.4212 4.5545
Al 2.3459 2.8599 2.9858
Al 2.0876 4.2355 6.5731
Al 2.3476 8.0054 6.5332
Al 3.2743 12.3451 1.3646
Al 4.3770 2.8959 0.2139
Al 3.7930 9.2096 9.4651
Al 4.8958 6.0314 8.3145
Al 5.8224 1.6917 3.1459
Al 6.0825 10.5492 3.1059
Al 5.8242 9.1736 6.6932
Al 8.3753 3.1075 5.1246
Al 8.2857 6.3137 6.7607
Tl 0.3308 9.0517 0.2110
Tl 0.8356 6.1643 2.6585
Tl 2.8144 12.4370 6.4544
Tl 5.3556 6.1233 3.2247
Tl 7.3344 12.4780 7.0206
Tl 7.8392 2.7380 9.4681
S 0.1262 2.2872 3.1715
S 0.1566 11.6290 4.9018
S 1.0500 12.0803 1.0772
S 0.5428 2.6298 6.8484
S 1.2618 6.1920 7.4704
S 1.7928 8.4154 4.3988
S 2.3970 3.7064 0.9201
S 2.1676 9.7260 7.9623
S 2.7971 4.5082 4.4397
S 3.6073 0.9518 3.3208
S 3.3288 0.7085 9.3766
S 4.1880 10.2270 1.7987
S 3.9821 3.9133 7.8803
S 4.8413 7.0223 0.3025
S 4.5627 7.2656 6.3583
S 5.3730 10.8219 5.2394
S 6.0024 3.4122 1.7167
S 5.7730 10.0202 8.7590
S 6.3772 2.1017 5.2802
S 6.9083 12.5058 2.2086
S 7.6273 8.9436 2.8306
S 7.1200 5.7666 8.6019
S 8.0135 5.3152 4.7773
S 8.0438 8.6010 6.5076
```

Principal peaks in the range 5° ≤ 2θ ≤ 70°, sorted by position:
2θ 11.52, I 554, hkl 0 1 1
2θ 16.77, I 413, hkl 0 2 1
2θ 20.60, I 1000, hkl 2 0 -1
2θ 23.16, I 563, hkl 0 2 2
2θ 26.49, I 572, hkl 2 2 1
2θ 28.26, I 528, hkl 0 4 0
2θ 28.82, I 286, hkl 2 3 0
2θ 29.09, I 648, hkl 2 1 2
2θ 31.74, I 267, hkl 1 2 -3
2θ 35.24, I 308, hkl 2 4 -1